For Dy2CoWN5, DFT lattice parameters and positions (GGA-PBE) gives the simulated PXRD pattern in this record (a wavelength of 1.5418 Å).

Structure:
Cell: 7.216 7.216 9.649 Å, 90.00 90.00 154.71°
Fractional positions:
1 Dy 0.116 0.884 0.500
2 Dy 0.117 0.883 0.124
3 Dy 0.883 0.117 0.624
4 Dy 0.884 0.116 0.000
5 Co 0.447 0.553 0.259
6 Co 0.553 0.447 0.759
7 W 0.208 0.792 0.824
8 W 0.792 0.208 0.324
9 N 0.022 0.978 0.824
10 N 0.303 0.697 0.465
11 N 0.319 0.681 0.179
12 N 0.339 0.661 0.810
13 N 0.497 0.503 0.081
14 N 0.503 0.497 0.581
15 N 0.661 0.339 0.310
16 N 0.681 0.319 0.679
17 N 0.697 0.303 0.965
18 N 0.978 0.022 0.324

Main lines, low angle first (5 to 70 degrees two-theta):
d 3.980, rel. 34.8
d 3.083, rel. 34.0
d 2.926, rel. 97.5
d 2.844, rel. 61.5
d 2.621, rel. 49.6
d 2.530, rel. 63.6
d 2.281, rel. 53.8
d 2.226, rel. 100.0
d 1.927, rel. 66.7
d 1.554, rel. 26.0



For Tb4NdDyS8, DFT lattice parameters and positions (GGA-PBE) gives the simulated PXRD pattern in this record (a wavelength of 1.5418 Å).

Structure:
Cell: 8.119 8.119 8.119 Å, 60.06 60.06 60.06°
Fractional positions:
1 Tb 0.000 0.000 0.000
2 Tb 0.123 0.625 0.625
3 Tb 0.625 0.123 0.625
4 Tb 0.625 0.625 0.123
5 Nd 0.250 0.250 0.250
6 Dy 0.625 0.625 0.625
7 S 0.385 0.385 0.385
8 S 0.386 0.386 0.842
9 S 0.386 0.842 0.386
10 S 0.397 0.867 0.867
11 S 0.842 0.386 0.386
12 S 0.867 0.397 0.867
13 S 0.867 0.867 0.397
14 S 0.868 0.868 0.868

Main lines, low angle first (5 to 70 degrees two-theta):
d 6.632, rel. 9.2
d 4.061, rel. 25.5
d 3.464, rel. 100.0
d 3.316, rel. 14.2
d 2.872, rel. 19.8
d 2.345, rel. 11.5
d 2.211, rel. 44.2
d 2.031, rel. 57.9
d 1.752, rel. 14.6
d 1.496, rel. 24.4



For ZrNb2Ru2, DFT lattice parameters and positions (GGA-PBE) gives the simulated PXRD pattern in this record (a wavelength of 1.5418 Å).

Structure:
Cell: 9.263 9.263 3.138 Å, 90.00 90.00 160.73°
Fractional positions:
1 Zr 0.000 0.000 0.000
2 Nb 0.184 0.816 0.000
3 Nb 0.816 0.184 0.000
4 Ru 0.407 0.593 0.500
5 Ru 0.593 0.407 0.500

Main lines, low angle first (5 to 70 degrees two-theta):
d 9.133, rel. 7.4
d 2.968, rel. 7.7
d 2.586, rel. 19.3
d 2.364, rel. 64.2
d 2.188, rel. 100.0
d 2.074, rel. 6.4
d 1.996, rel. 4.7
d 1.827, rel. 10.2
d 1.569, rel. 9.8
d 1.550, rel. 9.4